Entry 1:
Structure and simulated PXRD pattern of NiS2 (a GGA-PBE-relaxed structure; copper Kα).
Kinematic intensities with the Lorentz-polarization factor, no thermal factor.

```
NiS2
1.0
5.693 0.000 0.000
0.000 5.693 0.000
0.000 0.000 5.693
Ni S
4 8
direct
0.000 0.000 0.000
0.000 0.500 0.500
0.500 0.000 0.500
0.500 0.500 0.000
0.250 0.250 0.250
0.250 0.250 0.750
0.250 0.750 0.250
0.250 0.750 0.750
0.750 0.250 0.250
0.750 0.250 0.750
0.750 0.750 0.250
0.750 0.750 0.750
```

Principal peaks in the range 10 to 90 degrees two-theta, in order of rising 2θ:
27.1 deg, I 70.8
45.0 deg, I 100.0
53.4 deg, I 30.0
65.6 deg, I 14.9
72.3 deg, I 11.2
83.1 deg, I 30.7


Entry 2:
Structure and simulated PXRD pattern of Sn3P (a GGA-PBE-relaxed structure; copper Kα).
Kinematic intensities with the Lorentz-polarization factor, no thermal factor.

```
Sn3P
1.0
6.417 0.000 0.000
-3.208 5.557 0.000
0.000 0.000 5.553
Sn P
6 2
direct
0.170 0.340 0.250
0.170 0.830 0.250
0.340 0.170 0.750
0.660 0.830 0.250
0.830 0.170 0.750
0.830 0.660 0.750
0.333 0.667 0.750
0.667 0.333 0.250
```

Principal peaks in the range 10 to 90 degrees two-theta, in order of rising 2θ:
22.6 deg, I 18.2
32.2 deg, I 52.2
36.1 deg, I 100.0
46.2 deg, I 20.9
60.1 deg, I 25.3
67.4 deg, I 30.2


Entry 3:
Structure and simulated PXRD pattern of Ca2AgSbO6 (a GGA-PBE-relaxed structure; copper Kα).
Kinematic intensities with the Lorentz-polarization factor, no thermal factor.

```
Ca2AgSbO6
1.0
5.821 0.000 0.000
0.000 7.721 0.000
-1.246 0.000 5.957
Ca Ag Sb O
4 2 2 12
direct
0.026 0.250 0.074
0.462 0.750 0.459
0.538 0.250 0.541
0.974 0.750 0.926
0.000 0.000 0.500
0.000 0.500 0.500
0.500 0.000 0.000
0.500 0.500 0.000
0.103 0.750 0.571
0.163 0.043 0.831
0.163 0.457 0.831
0.371 0.054 0.268
0.371 0.446 0.268
0.403 0.750 0.058
0.597 0.250 0.942
0.629 0.554 0.732
0.629 0.946 0.732
0.837 0.543 0.169
0.837 0.957 0.169
0.897 0.250 0.429
```

Principal peaks in the range 10 to 90 degrees two-theta, in order of rising 2θ:
19.2 deg, I 51.4
23.0 deg, I 35.4
30.0 deg, I 45.5
30.2 deg, I 100.0
31.4 deg, I 52.1
33.3 deg, I 69.1


Entry 4:
Structure and simulated PXRD pattern of Sm3Ho (a GGA-PBE-relaxed structure; copper Kα).
Kinematic intensities with the Lorentz-polarization factor, no thermal factor.

```
Sm3Ho
1.0
5.089 0.000 0.000
0.000 5.089 0.000
0.000 0.000 10.204
Sm Ho
6 2
direct
0.000 0.000 0.000
0.000 0.500 0.250
0.000 0.500 0.750
0.500 0.000 0.250
0.500 0.000 0.750
0.500 0.500 0.500
0.000 0.000 0.500
0.500 0.500 0.000
```

Principal peaks in the range 10 to 90 degrees two-theta, in order of rising 2θ:
30.4 deg, I 100.0
35.2 deg, I 50.7
50.7 deg, I 36.2
60.2 deg, I 14.4
60.3 deg, I 28.7
63.2 deg, I 12.4


Entry 5:
Structure and simulated PXRD pattern of Gd2TiO5 (a GGA-PBE-relaxed structure; copper Kα).
Kinematic intensities with the Lorentz-polarization factor, no thermal factor.

```
Gd2TiO5
1.0
10.563 0.000 0.000
0.000 3.771 0.000
0.000 0.000 11.417
Gd Ti O
8 4 20
direct
0.112 0.250 0.223
0.137 0.250 0.556
0.363 0.750 0.056
0.388 0.750 0.723
0.612 0.250 0.277
0.637 0.250 0.944
0.863 0.750 0.444
0.888 0.750 0.777
0.177 0.250 0.879
0.323 0.750 0.379
0.677 0.250 0.621
0.823 0.750 0.121
0.006 0.750 0.604
0.012 0.250 0.844
0.224 0.250 0.041
0.235 0.750 0.882
0.239 0.750 0.230
0.261 0.250 0.730
0.265 0.250 0.382
0.276 0.750 0.541
0.488 0.750 0.344
0.494 0.250 0.104
0.506 0.750 0.896
0.512 0.250 0.656
0.724 0.250 0.459
0.735 0.750 0.618
0.739 0.750 0.270
0.761 0.250 0.770
0.765 0.250 0.118
0.776 0.750 0.959
0.988 0.750 0.156
0.994 0.250 0.396
```

Principal peaks in the range 10 to 90 degrees two-theta, in order of rising 2θ:
11.4 deg, I 24.8
24.9 deg, I 26.2
28.9 deg, I 75.8
29.1 deg, I 100.0
33.5 deg, I 37.1
48.4 deg, I 39.4


Entry 6:
Structure and simulated PXRD pattern of La3Ga2Ni2 (a GGA-PBE-relaxed structure; copper Kα).
Kinematic intensities with the Lorentz-polarization factor, no thermal factor.

```
La3Ga2Ni2
1.0
5.758 0.000 0.000
0.000 8.321 0.000
0.000 0.000 13.178
La Ga Ni
12 8 8
direct
0.158 0.102 0.096
0.158 0.102 0.404
0.158 0.398 0.596
0.158 0.398 0.904
0.338 0.749 0.750
0.338 0.751 0.250
0.662 0.249 0.750
0.662 0.251 0.250
0.842 0.602 0.096
0.842 0.602 0.404
0.842 0.898 0.596
0.842 0.898 0.904
0.172 0.103 0.750
0.172 0.397 0.250
0.354 0.750 0.000
0.354 0.750 0.500
0.646 0.250 0.000
0.646 0.250 0.500
0.828 0.603 0.750
0.828 0.897 0.250
0.390 0.034 0.588
0.390 0.034 0.912
0.390 0.466 0.088
0.390 0.466 0.412
0.610 0.534 0.588
0.610 0.534 0.912
0.610 0.966 0.088
0.610 0.966 0.412
```

Principal peaks in the range 10 to 90 degrees two-theta, in order of rising 2θ:
29.6 deg, I 50.6
32.9 deg, I 63.5
33.1 deg, I 61.3
33.5 deg, I 44.5
35.9 deg, I 100.0
38.9 deg, I 87.8


Entry 7:
Structure and simulated PXRD pattern of Na3MgTiP3O12 (a GGA-PBE-relaxed structure; copper Kα).
Kinematic intensities with the Lorentz-polarization factor, no thermal factor.

```
Na3MgTiP3O12
1.0
7.670 -4.442 0.000
7.670 4.442 0.000
-5.053 0.000 7.244
Na Mg Ti P O
6 2 2 6 24
direct
0.059 0.941 0.500
0.203 0.429 0.964
0.343 0.790 0.208
0.429 0.203 0.464
0.790 0.343 0.708
0.941 0.059 0.000
0.169 0.666 0.779
0.666 0.169 0.279
0.467 0.952 0.662
0.952 0.467 0.162
0.069 0.270 0.479
0.270 0.069 0.979
0.350 0.570 0.465
0.570 0.350 0.965
0.770 0.857 0.480
0.857 0.770 0.980
0.027 0.313 0.303
0.035 0.739 0.961
0.087 0.240 0.972
0.119 0.424 0.653
0.181 0.527 0.283
0.233 0.910 0.964
0.240 0.087 0.472
0.302 0.620 0.629
0.313 0.027 0.803
0.363 0.745 0.472
0.407 0.527 0.956
0.424 0.119 0.153
0.527 0.181 0.783
0.527 0.407 0.456
0.586 0.868 0.474
0.620 0.302 0.129
0.684 0.821 0.808
0.739 0.035 0.461
0.745 0.363 0.972
0.821 0.684 0.308
0.833 0.928 0.155
0.868 0.586 0.974
0.910 0.233 0.464
0.928 0.833 0.655
```

Principal peaks in the range 10 to 90 degrees two-theta, in order of rising 2θ:
23.5 deg, I 98.3
23.6 deg, I 46.5
31.0 deg, I 49.1
31.8 deg, I 100.0
32.0 deg, I 46.9
35.0 deg, I 45.9